The following is a simulated X-ray powder pattern of CsCoPO4. It was derived from the GGA+U geometry in the Materials Project, using Cu Kα, 1.54184 Å.
Peak positions follow from Bragg's law for the DFT cell and can differ from measured ones.

```
data_CsCoPO4
_chemical_formula_sum 'Cs4 Co4 P4 O16'
_cell_length_a 9.347
_cell_length_b 9.638
_cell_length_c 5.519
_cell_angle_alpha 90.00
_cell_angle_beta 90.00
_cell_angle_gamma 90.00
_symmetry_space_group_name_H-M 'P n a 21'
_symmetry_Int_Tables_number 33
loop_
_symmetry_equiv_pos_as_xyz
'x,y,z'
'-x,-y,z+1/2'
'-x+1/2,y+1/2,z+1/2'
'x+1/2,-y+1/2,z'
loop_
_atom_site_label
_atom_site_type_symbol
_atom_site_fract_x
_atom_site_fract_y
_atom_site_fract_z
_atom_site_occupancy
Cs1 Cs 0.003 0.200 0.000 1
Co1 Co 0.174 0.582 0.994 1
P1 P 0.198 0.411 0.495 1
O1 O 0.034 0.397 0.496 1
O2 O 0.233 0.773 0.915 1
O3 O 0.247 0.526 0.313 1
O4 O 0.247 0.951 0.252 1
```

Principal peaks in the range 2θ = 10–90°, by angle:
hkl  d/Å  Position (°2θ)  I/Imax
1 2 1  3.384  26.34  46
2 1 1  3.348  26.63  100
1 3 0  3.038  29.40  11
3 1 0  2.965  30.14  11
0 3 1  2.777  32.24  25
0 0 2  2.760  32.45  21
4 1 1  2.101  43.06  13
1 5 0  1.888  48.20  9
3 4 1  1.802  50.67  17
1 5 2  1.558  59.31  11